No. 1
Structure and theoretical XRD peak list of Cu7Sn (a GGA-PBE-relaxed structure; Cu Ka).
No peak broadening, texture or thermal motion is included.

Largest 10 diffraction maxima, by intensity, 15° ≤ 2θ ≤ 90°:
42.6 deg, rel. 100
47.6 deg, rel. 26
45.0 deg, rel. 18
53.4 deg, rel. 16
49.8 deg, rel. 14
74.3 deg, rel. 13
85.1 deg, rel. 9
38.2 deg, rel. 8
69.5 deg, rel. 7
76.0 deg, rel. 7

Structure:
```
Cu7Sn
1.0
2.705 0.000 0.000
0.000 3.431 0.000
0.000 0.000 32.357
Cu Sn
14 2
direct
0.250 0.250 0.020
0.250 0.250 0.099
0.250 0.250 0.178
0.250 0.250 0.257
0.250 0.250 0.782
0.250 0.250 0.862
0.250 0.250 0.941
0.750 0.750 0.059
0.750 0.750 0.138
0.750 0.750 0.218
0.750 0.750 0.743
0.750 0.750 0.822
0.750 0.750 0.901
0.750 0.750 0.980
0.250 0.250 0.687
0.750 0.750 0.313
```

No. 2
Structure and theoretical XRD peak list of AlPt (a GGA-PBE-relaxed structure; Cu Ka).
No peak broadening, texture or thermal motion is included.

Largest 10 diffraction maxima, by intensity, 15° ≤ 2θ ≤ 90°:
41.3 deg, rel. 100
28.8 deg, rel. 97
41.1 deg, rel. 64
23.9 deg, rel. 42
67.5 deg, rel. 27
37.7 deg, rel. 25
38.7 deg, rel. 18
48.9 deg, rel. 17
77.5 deg, rel. 16
68.3 deg, rel. 15

Structure:
```
AlPt
1.0
7.876 4.547 1.795
-7.876 4.547 1.795
0.000 -9.095 1.795
Al Pt
13 13
direct
0.000 0.000 0.000
0.094 0.248 0.650
0.150 0.399 0.441
0.248 0.650 0.094
0.350 0.906 0.752
0.399 0.441 0.150
0.441 0.150 0.399
0.559 0.850 0.601
0.601 0.559 0.850
0.650 0.094 0.248
0.752 0.350 0.906
0.850 0.601 0.559
0.906 0.752 0.350
0.062 0.348 0.100
0.100 0.062 0.348
0.149 0.590 0.744
0.256 0.851 0.410
0.348 0.100 0.062
0.410 0.256 0.851
0.500 0.500 0.500
0.590 0.744 0.149
0.652 0.900 0.938
0.744 0.149 0.590
0.851 0.410 0.256
0.900 0.938 0.652
0.938 0.652 0.900
```